Entry 1:
For Ba5P9, a PBE-relaxed structure gives the simulated powder X-ray diffraction pattern in this record (Cu Ka).
Intensities are scaled so that the largest is 100.

Structure:
a b c (Å): 10.926 9.454 12.444
angles (deg): 57.95 47.17 74.88
Fractional coordinates of all 28 atoms:
1 Ba 0.000 0.000 0.000
2 Ba 0.217 0.823 0.650
3 Ba 0.250 0.250 0.250
4 Ba 0.271 0.457 0.511
5 Ba 0.457 0.271 0.761
6 Ba 0.489 0.739 0.793
7 Ba 0.600 0.940 0.033
8 Ba 0.739 0.489 0.979
9 Ba 0.823 0.217 0.310
10 Ba 0.940 0.600 0.427
11 P 0.032 0.583 0.116
12 P 0.086 0.396 0.893
13 P 0.121 0.837 0.436
14 P 0.134 0.980 0.218
15 P 0.203 0.481 0.942
16 P 0.308 0.877 0.047
17 P 0.357 0.626 0.164
18 P 0.396 0.086 0.624
19 P 0.481 0.203 0.373
20 P 0.583 0.032 0.270
21 P 0.615 0.615 0.385
22 P 0.626 0.357 0.854
23 P 0.644 0.814 0.413
24 P 0.814 0.644 0.129
25 P 0.837 0.121 0.606
26 P 0.865 0.865 0.635
27 P 0.877 0.308 0.769
28 P 0.980 0.134 0.667

Principal peaks in the range 5 to 70 degrees two-theta, in order of rising 2θ:
22.51°, I 47.4
25.33°, I 62.4
26.78°, I 28.6
27.70°, I 41.7
29.90°, I 100.0
30.04°, I 66.3


Entry 2:
For Ba2CuSi2O7, a PBE-relaxed structure gives the simulated powder X-ray diffraction pattern in this record (Cu Ka).
Intensities are scaled so that the largest is 100.

Structure:
a b c (Å): 6.855 6.855 8.660
angles (deg): 102.55 102.55 101.64
Fractional coordinates of all 24 atoms:
1 Ba 0.187 0.267 0.473
2 Ba 0.267 0.187 0.973
3 Ba 0.733 0.813 0.027
4 Ba 0.813 0.733 0.527
5 Cu 0.263 0.737 0.250
6 Cu 0.737 0.263 0.750
7 Si 0.160 0.615 0.860
8 Si 0.385 0.840 0.640
9 Si 0.615 0.160 0.360
10 Si 0.840 0.385 0.140
11 O 0.016 0.776 0.863
12 O 0.035 0.373 0.765
13 O 0.224 0.984 0.637
14 O 0.312 0.627 0.039
15 O 0.331 0.669 0.750
16 O 0.373 0.035 0.265
17 O 0.373 0.688 0.461
18 O 0.627 0.312 0.539
19 O 0.627 0.965 0.735
20 O 0.669 0.331 0.250
21 O 0.688 0.373 0.961
22 O 0.776 0.016 0.363
23 O 0.965 0.627 0.235
24 O 0.984 0.224 0.137

Principal peaks in the range 5 to 70 degrees two-theta, in order of rising 2θ:
27.63°, I 100.0
28.15°, I 29.0
30.28°, I 21.0
32.13°, I 24.6
46.49°, I 20.9
53.54°, I 19.0


Entry 3:
For CaEr2S4, a PBE-relaxed structure gives the simulated powder X-ray diffraction pattern in this record (Cu Ka).
Intensities are scaled so that the largest is 100.

Structure:
a b c (Å): 6.690 6.690 13.238
angles (deg): 90.00 90.00 146.37
Fractional coordinates of all 14 atoms:
1 Ca 0.114 0.886 0.500
2 Ca 0.886 0.114 0.000
3 Er 0.358 0.642 0.691
4 Er 0.374 0.626 0.334
5 Er 0.626 0.374 0.834
6 Er 0.642 0.358 0.191
7 S 0.014 0.986 0.275
8 S 0.264 0.736 0.878
9 S 0.280 0.720 0.145
10 S 0.460 0.540 0.517
11 S 0.540 0.460 0.017
12 S 0.720 0.280 0.645
13 S 0.736 0.264 0.378
14 S 0.986 0.014 0.775

Principal peaks in the range 5 to 70 degrees two-theta, in order of rising 2θ:
13.38°, I 52.5
24.02°, I 37.4
24.50°, I 100.0
31.19°, I 39.2
34.07°, I 49.3
47.29°, I 59.0


Entry 4:
For BaAl4Se7, a PBE-relaxed structure gives the simulated powder X-ray diffraction pattern in this record (Cu Ka).
Intensities are scaled so that the largest is 100.

Structure:
a b c (Å): 7.723 6.625 14.914
angles (deg): 90.00 121.01 90.00
Fractional coordinates of all 24 atoms:
1 Ba 0.000 0.142 0.000
2 Ba 0.000 0.858 0.500
3 Al 0.438 0.488 0.957
4 Al 0.438 0.512 0.457
5 Al 0.443 0.339 0.695
6 Al 0.443 0.661 0.195
7 Al 0.671 0.135 0.180
8 Al 0.671 0.865 0.680
9 Al 0.926 0.346 0.683
10 Al 0.926 0.654 0.183
11 Se 0.224 0.353 0.511
12 Se 0.224 0.647 0.011
13 Se 0.254 0.478 0.262
14 Se 0.254 0.522 0.762
15 Se 0.443 0.138 0.995
16 Se 0.443 0.862 0.495
17 Se 0.529 0.014 0.774
18 Se 0.529 0.986 0.274
19 Se 0.760 0.477 0.262
20 Se 0.760 0.523 0.762
21 Se 0.766 0.395 0.500
22 Se 0.766 0.605 0.000
23 Se 0.997 0.002 0.734
24 Se 0.997 0.998 0.234

Principal peaks in the range 5 to 70 degrees two-theta, in order of rising 2θ:
27.64°, I 46.9
27.88°, I 95.6
30.22°, I 100.0
44.76°, I 20.4
47.43°, I 27.0
55.94°, I 22.7


Entry 5:
For Hf2Al3Au, a PBE-relaxed structure gives the simulated powder X-ray diffraction pattern in this record (Cu Ka).
Intensities are scaled so that the largest is 100.

Structure:
a b c (Å): 5.274 5.274 5.274
angles (deg): 60.63 60.63 60.63
Fractional coordinates of all 6 atoms:
1 Hf 0.123 0.123 0.123
2 Hf 0.877 0.877 0.877
3 Al 0.000 0.500 0.500
4 Al 0.500 0.000 0.500
5 Al 0.500 0.500 0.000
6 Au 0.500 0.500 0.500

Principal peaks in the range 5 to 70 degrees two-theta, in order of rising 2θ:
20.73°, I 49.5
23.75°, I 28.2
33.67°, I 100.0
39.87°, I 99.6
40.16°, I 54.7
64.60°, I 27.3


Entry 6:
For TeSe, a PBE-relaxed structure gives the simulated powder X-ray diffraction pattern in this record (Cu Ka).
Intensities are scaled so that the largest is 100.

Structure:
a b c (Å): 4.399 4.438 11.036
angles (deg): 88.76 89.40 61.22
Fractional coordinates of all 6 atoms:
1 Te 0.000 0.000 0.000
2 Te 0.014 0.990 0.514
3 Te 0.742 0.725 0.336
4 Se 0.508 0.227 0.167
5 Se 0.516 0.222 0.679
6 Se 0.741 0.768 0.837

Principal peaks in the range 5 to 70 degrees two-theta, in order of rising 2θ:
22.87°, I 12.8
28.27°, I 100.0
39.70°, I 12.9
40.07°, I 9.8
40.20°, I 13.1
40.73°, I 19.7


Entry 7:
For Nd3TiCl5O4, a PBE-relaxed structure gives the simulated powder X-ray diffraction pattern in this record (Cu Ka).
Intensities are scaled so that the largest is 100.

Structure:
a b c (Å): 16.739 4.046 14.624
angles (deg): 90.00 90.00 90.00
Fractional coordinates of all 52 atoms:
1 Nd 0.120 0.250 0.081
2 Nd 0.121 0.750 0.416
3 Nd 0.130 0.250 0.739
4 Nd 0.370 0.750 0.239
5 Nd 0.379 0.250 0.916
6 Nd 0.380 0.750 0.581
7 Nd 0.620 0.250 0.419
8 Nd 0.621 0.750 0.084
9 Nd 0.630 0.250 0.761
10 Nd 0.870 0.750 0.261
11 Nd 0.879 0.250 0.584
12 Nd 0.880 0.750 0.919
13 Ti 0.209 0.750 0.910
14 Ti 0.291 0.250 0.410
15 Ti 0.709 0.750 0.590
16 Ti 0.791 0.250 0.090
17 Cl 0.016 0.250 0.903
18 Cl 0.021 0.250 0.284
19 Cl 0.054 0.250 0.557
20 Cl 0.179 0.750 0.226
21 Cl 0.202 0.750 0.600
22 Cl 0.298 0.250 0.100
23 Cl 0.321 0.250 0.726
24 Cl 0.446 0.750 0.057
25 Cl 0.479 0.750 0.784
26 Cl 0.484 0.750 0.403
27 Cl 0.516 0.250 0.597
28 Cl 0.521 0.250 0.216
29 Cl 0.554 0.250 0.943
30 Cl 0.679 0.750 0.274
31 Cl 0.702 0.750 0.900
32 Cl 0.798 0.250 0.400
33 Cl 0.821 0.250 0.774
34 Cl 0.946 0.750 0.443
35 Cl 0.979 0.750 0.716
36 Cl 0.984 0.750 0.097
37 O 0.151 0.750 0.019
38 O 0.154 0.750 0.800
39 O 0.181 0.250 0.410
40 O 0.208 0.250 0.909
41 O 0.292 0.750 0.409
42 O 0.319 0.750 0.910
43 O 0.346 0.250 0.300
44 O 0.349 0.250 0.519
45 O 0.651 0.750 0.481
46 O 0.654 0.750 0.700
47 O 0.681 0.250 0.090
48 O 0.708 0.250 0.591
49 O 0.792 0.750 0.091
50 O 0.819 0.750 0.590
51 O 0.846 0.250 0.200
52 O 0.849 0.250 0.981

Principal peaks in the range 5 to 70 degrees two-theta, in order of rising 2θ:
21.09°, I 100.0
21.23°, I 50.2
36.88°, I 39.6
37.13°, I 72.8
44.80°, I 34.1
59.55°, I 34.8